This entry pairs a crystal structure of Li3CrP2O9 with its computed powder XRD pattern. Radiation: Cu Kα (weighted mean of Kα1 and Kα2). Structure: DFT lattice parameters and positions (PBE+U).
Intensities are scaled so that the largest is 100.

Crystal structure
```
Li3CrP2O9
1.0
6.869 0.000 0.000
0.365 7.125 0.000
3.357 0.013 7.191
Li Cr P O
6 2 4 18
direct
0.000 0.000 0.000 Li
0.068 0.259 0.298 Li
0.213 0.509 0.614 Li
0.472 0.445 0.067 Li
0.639 0.081 0.558 Li
0.827 0.770 0.801 Li
0.068 0.763 0.301 Cr
0.562 0.754 0.311 Cr
0.178 0.050 0.555 P
0.452 0.999 0.010 P
0.690 0.520 0.606 P
0.942 0.465 0.060 P
0.021 0.559 0.870 O
0.058 0.959 0.745 O
0.069 0.998 0.424 O
0.070 0.529 0.174 O
0.189 0.261 0.549 O
0.243 0.883 0.066 O
0.290 0.667 0.333 O
0.387 0.192 0.100 O
0.420 0.968 0.470 O
0.522 0.608 0.534 O
0.576 0.994 0.801 O
0.586 0.522 0.816 O
0.606 0.889 0.086 O
0.696 0.534 0.165 O
0.759 0.327 0.515 O
0.833 0.843 0.282 O
0.886 0.652 0.546 O
0.954 0.253 0.071 O
```

Main lines, by angle (2θ = 10–90°):
- (0 0 1), 12.31°, intensity 88
- (0 1 0), 12.42°, intensity 100
- (0 1 1), 17.52°, intensity 72
- (1 1 0), 18.53°, intensity 73
- (0 1 -2), 27.80°, intensity 61
- (0 2 1), 27.94°, intensity 59
- (2 0 0), 28.71°, intensity 25
- (2 0 2), 28.96°, intensity 30
- (2 -1 1), 29.48°, intensity 37
- (2 2 1), 35.40°, intensity 32